[1]
For Ho2ScB2Ru5, the GGA-PBE geometry in Alexandria gives the computed powder diffractogram in this record (Cu Kα (λ = 1.5418 Å)).
Neutral-atom scattering factors, no anomalous dispersion.

Cell lengths 9.723, 9.723, 3.143 Å; angles 90.00, 90.00, 90.00 degrees
Atoms (fractional coordinates):
Ho  0.176  0.324  0.000
Ho  0.324  0.824  0.000
Ho  0.676  0.176  0.000
Ho  0.824  0.676  0.000
Sc  0.000  0.000  0.000
Sc  0.500  0.500  0.000
B  0.122  0.622  0.000
B  0.378  0.122  0.000
B  0.622  0.878  0.000
B  0.878  0.378  0.000
Ru  0.000  0.500  0.500
Ru  0.070  0.777  0.500
Ru  0.223  0.070  0.500
Ru  0.277  0.570  0.500
Ru  0.430  0.277  0.500
Ru  0.500  0.000  0.500
Ru  0.570  0.723  0.500
Ru  0.723  0.430  0.500
Ru  0.777  0.930  0.500
Ru  0.930  0.223  0.500

Peak list (8 most intense, 2θ from 10° to 90°, in order of falling intensity)
35.24°, intensity 100
38.16°, intensity 94
41.07°, intensity 77
41.54°, intensity 30
44.26°, intensity 30
38.82°, intensity 29
72.25°, intensity 28
39.31°, intensity 28

---

[2]
For Sm2Y2Tm5, the GGA-PBE geometry in Alexandria gives the computed powder diffractogram in this record (Cu Kα (λ = 1.5418 Å)).
Neutral-atom scattering factors, no anomalous dispersion.

Cell lengths 3.591, 8.743, 9.489 Å; angles 101.53, 90.06, 101.82 degrees
Atoms (fractional coordinates):
Sm  0.018  0.036  0.325
Sm  0.982  0.964  0.675
Y  0.317  0.637  0.751
Y  0.683  0.363  0.249
Tm  0.164  0.328  0.926
Tm  0.352  0.702  0.402
Tm  0.500  0.000  0.000
Tm  0.648  0.298  0.598
Tm  0.836  0.672  0.074

Peak list (8 most intense, 2θ from 10° to 90°, in order of falling intensity)
32.19°, intensity 100
32.05°, intensity 43
32.83°, intensity 41
31.27°, intensity 39
33.56°, intensity 37
30.09°, intensity 33
61.42°, intensity 18
50.86°, intensity 17

---

[3]
For DyMg2Sn2, the GGA-PBE geometry in Alexandria gives the computed powder diffractogram in this record (Cu Kα (λ = 1.5418 Å)).
Neutral-atom scattering factors, no anomalous dispersion.

Cell lengths 12.654, 12.654, 4.454 Å; angles 90.00, 90.00, 159.90 degrees
Atoms (fractional coordinates):
Dy  0.152  0.848  0.750
Dy  0.848  0.152  0.250
Mg  0.045  0.955  0.250
Mg  0.454  0.546  0.250
Mg  0.546  0.454  0.750
Mg  0.955  0.045  0.750
Sn  0.249  0.751  0.250
Sn  0.372  0.628  0.750
Sn  0.628  0.372  0.250
Sn  0.751  0.249  0.750

Peak list (8 most intense, 2θ from 10° to 90°, in order of falling intensity)
33.77°, intensity 100
30.47°, intensity 31
28.67°, intensity 18
40.51°, intensity 17
40.87°, intensity 17
36.04°, intensity 14
69.39°, intensity 13
69.89°, intensity 12

---

[4]
For Ba3NaSi2O8, the GGA-PBE geometry in Alexandria gives the computed powder diffractogram in this record (Cu Kα (λ = 1.5418 Å)).
Neutral-atom scattering factors, no anomalous dispersion.

Cell lengths 5.884, 5.884, 14.928 Å; angles 90.00, 90.00, 120.60 degrees
Atoms (fractional coordinates):
Ba  0.025  0.975  0.750
Ba  0.340  0.660  0.579
Ba  0.340  0.660  0.921
Ba  0.660  0.340  0.079
Ba  0.660  0.340  0.421
Ba  0.975  0.025  0.250
Na  0.000  0.000  0.000
Na  0.000  0.000  0.500
Si  0.328  0.672  0.140
Si  0.328  0.672  0.360
Si  0.672  0.328  0.640
Si  0.672  0.328  0.860
O  0.168  0.376  0.096
O  0.168  0.376  0.404
O  0.170  0.830  0.121
O  0.170  0.830  0.379
O  0.298  0.702  0.750
O  0.363  0.637  0.250
O  0.376  0.168  0.596
O  0.376  0.168  0.904
O  0.624  0.832  0.096
O  0.624  0.832  0.404
O  0.637  0.363  0.750
O  0.702  0.298  0.250
O  0.830  0.170  0.621
O  0.830  0.170  0.879
O  0.832  0.624  0.596
O  0.832  0.624  0.904

Peak list (8 most intense, 2θ from 10° to 90°, in order of falling intensity)
30.38°, intensity 100
29.70°, intensity 67
21.20°, intensity 61
30.67°, intensity 53
39.95°, intensity 52
34.87°, intensity 38
24.97°, intensity 37
25.09°, intensity 31

---

[5]
For TbGdHg4, the GGA-PBE geometry in Alexandria gives the computed powder diffractogram in this record (Cu Kα (λ = 1.5418 Å)).
Neutral-atom scattering factors, no anomalous dispersion.

Cell lengths 5.962, 5.962, 5.962 Å; angles 60.00, 60.00, 60.00 degrees
Atoms (fractional coordinates):
Tb  0.000  0.000  0.000
Gd  0.750  0.750  0.750
Hg  0.375  0.375  0.375
Hg  0.375  0.375  0.875
Hg  0.375  0.875  0.375
Hg  0.875  0.375  0.375

Peak list (8 most intense, 2θ from 10° to 90°, in order of falling intensity)
35.30°, intensity 100
36.93°, intensity 49
56.73°, intensity 35
62.29°, intensity 32
89.22°, intensity 24
74.67°, intensity 20
29.97°, intensity 19
18.22°, intensity 13

---

[6]
For KOsF5, the GGA-PBE geometry in Alexandria gives the computed powder diffractogram in this record (Cu Kα (λ = 1.5418 Å)).
Neutral-atom scattering factors, no anomalous dispersion.

Cell lengths 6.121, 6.121, 7.852 Å; angles 106.86, 106.86, 74.70 degrees
Atoms (fractional coordinates):
K  0.030  0.970  0.750
K  0.970  0.030  0.250
Os  0.500  0.500  0.000
Os  0.500  0.500  0.500
F  0.208  0.728  0.022
F  0.246  0.335  0.394
F  0.272  0.792  0.478
F  0.335  0.246  0.894
F  0.432  0.568  0.750
F  0.568  0.432  0.250
F  0.665  0.754  0.106
F  0.728  0.208  0.522
F  0.754  0.665  0.606
F  0.792  0.272  0.978

Peak list (8 most intense, 2θ from 10° to 90°, in order of falling intensity)
15.43°, intensity 100
19.59°, intensity 64
25.68°, intensity 64
23.96°, intensity 34
31.94°, intensity 29
31.14°, intensity 19
24.35°, intensity 18
33.10°, intensity 16

---

[7]
For CdAg4F7, the GGA-PBE geometry in Alexandria gives the computed powder diffractogram in this record (Cu Kα (λ = 1.5418 Å)).
Neutral-atom scattering factors, no anomalous dispersion.

Cell lengths 5.925, 5.925, 10.119 Å; angles 106.75, 106.75, 33.17 degrees
Atoms (fractional coordinates):
Cd  0.000  0.000  0.000
Ag  0.097  0.097  0.420
Ag  0.217  0.217  0.823
Ag  0.396  0.396  0.603
Ag  0.800  0.800  0.231
F  0.050  0.050  0.630
F  0.145  0.145  0.209
F  0.380  0.380  0.043
F  0.441  0.441  0.349
F  0.614  0.614  0.948
F  0.752  0.752  0.486
F  0.865  0.865  0.787

Peak list (8 most intense, 2θ from 10° to 90°, in order of falling intensity)
27.66°, intensity 100
28.23°, intensity 67
37.35°, intensity 40
31.52°, intensity 36
29.96°, intensity 32
39.50°, intensity 25
35.64°, intensity 24
53.46°, intensity 20

---

[8]
For RbBa, the GGA-PBE geometry in Alexandria gives the computed powder diffractogram in this record (Cu Kα (λ = 1.5418 Å)).
Neutral-atom scattering factors, no anomalous dispersion.

Cell lengths 15.643, 15.643, 4.405 Å; angles 90.00, 90.00, 120.00 degrees
Atoms (fractional coordinates):
Rb  0.095  0.310  0.250
Rb  0.215  0.905  0.250
Rb  0.310  0.215  0.750
Rb  0.690  0.785  0.250
Rb  0.785  0.095  0.750
Rb  0.905  0.690  0.750
Ba  0.149  0.602  0.750
Ba  0.398  0.547  0.750
Ba  0.453  0.851  0.750
Ba  0.547  0.149  0.250
Ba  0.602  0.453  0.250
Ba  0.851  0.398  0.250

Peak list (8 most intense, 2θ from 10° to 90°, in order of falling intensity)
23.68°, intensity 100
26.70°, intensity 38
24.10°, intensity 30
47.87°, intensity 29
41.63°, intensity 20
21.21°, intensity 19
36.61°, intensity 18
23.17°, intensity 16

---

[9]
For Ac6TlIn5, the GGA-PBE geometry in Alexandria gives the computed powder diffractogram in this record (Cu Kα (λ = 1.5418 Å)).
Neutral-atom scattering factors, no anomalous dispersion.

Cell lengths 8.087, 8.087, 7.211 Å; angles 98.33, 98.33, 98.98 degrees
Atoms (fractional coordinates):
Ac  0.082  0.417  0.749
Ac  0.248  0.248  0.244
Ac  0.417  0.082  0.749
Ac  0.583  0.918  0.251
Ac  0.752  0.752  0.756
Ac  0.918  0.583  0.251
Tl  0.000  0.000  0.500
In  0.171  0.829  0.000
In  0.340  0.660  0.500
In  0.500  0.500  0.000
In  0.660  0.340  0.500
In  0.829  0.171  0.000

Peak list (8 most intense, 2θ from 10° to 90°, in order of falling intensity)
27.56°, intensity 100
34.38°, intensity 57
27.39°, intensity 51
43.65°, intensity 29
34.01°, intensity 29
35.04°, intensity 27
54.21°, intensity 23
52.77°, intensity 17

---

[10]
For Hg5Br, the GGA-PBE geometry in Alexandria gives the computed powder diffractogram in this record (Cu Kα (λ = 1.5418 Å)).
Neutral-atom scattering factors, no anomalous dispersion.

Cell lengths 6.264, 13.623, 4.211 Å; angles 90.00, 90.00, 90.00 degrees
Atoms (fractional coordinates):
Hg  0.000  0.000  0.000
Hg  0.000  0.160  0.500
Hg  0.000  0.326  0.000
Hg  0.000  0.674  0.000
Hg  0.000  0.840  0.500
Hg  0.500  0.174  0.000
Hg  0.500  0.340  0.500
Hg  0.500  0.500  0.000
Hg  0.500  0.660  0.500
Hg  0.500  0.826  0.000
Br  0.000  0.500  0.500
Br  0.500  0.000  0.500

Peak list (8 most intense, 2θ from 10° to 90°, in order of falling intensity)
32.32°, intensity 100
28.50°, intensity 35
52.93°, intensity 25
49.59°, intensity 15
39.70°, intensity 14
52.35°, intensity 13
67.65°, intensity 12
42.95°, intensity 12